Starting from a structure optimized by DFT (GGA+U), the X-ray powder pattern of Mo2P4O15 was simulated for Cu Kα.
Kinematic intensities with the Lorentz-polarization factor, no thermal factor.

a b c (Å): 8.517 8.979 9.523
angles (deg): 90.00 108.86 90.00
Space group P2_1 (No. 4)
Asymmetric unit:
Mo 0.046 0.000 0.097 x2
Mo 0.311 0.559 0.503 x2
P 0.157 0.681 0.236 x2
P 0.296 0.838 0.915 x2
P 0.332 0.220 0.310 x2
P 0.445 0.440 0.104 x2
O 0.076 0.652 0.071 x2
O 0.080 0.583 0.333 x2
O 0.145 0.431 0.914 x2
O 0.148 0.168 0.237 x2
O 0.157 0.852 0.260 x2
O 0.181 0.277 0.626 x2
O 0.198 0.952 0.986 x2
O 0.215 0.413 0.638 x2
O 0.259 0.699 0.601 x2
O 0.343 0.340 0.426 x2
O 0.348 0.637 0.315 x2
O 0.355 0.950 0.798 x2
O 0.387 0.284 0.177 x2
O 0.440 0.082 0.373 x2
O 0.497 0.856 0.028 x2

The 8 most intense peaks (2θ = 15–90°), by angle:
| 2θ (°) | d (Å) | I (rel.) | (hkl) |
| --- | --- | --- | --- |
| 15.65 | 5.661 | 26 | 1 1 -1 |
| 19.66 | 4.516 | 100 | 1 1 1 |
| 21.04 | 4.223 | 31 | 2 0 -1 |
| 21.63 | 4.108 | 65 | 1 1 -2 |
| 22.11 | 4.020 | 34 | 0 2 1 |
| 23.27 | 3.823 | 35 | 1 2 -1 |
| 28.06 | 3.180 | 19 | 0 2 2 |
| 35.77 | 2.510 | 21 | 2 1 2 |

Starting from a structure optimized by DFT (GGA+U), the X-ray powder pattern of Mo2P4O15 was simulated for Cu Kα.
Kinematic intensities with the Lorentz-polarization factor, no thermal factor.

a b c (Å): 8.496 6.833 11.108
angles (deg): 90.00 106.06 90.00
Space group Pc (No. 7)
Asymmetric unit:
Mo 0.000 0.001 0.000 x2
Mo 0.595 0.498 0.696 x2
P 0.211 0.363 0.221 x2
P 0.378 0.133 0.471 x2
P 0.614 0.192 0.949 x2
P 0.983 0.310 0.747 x2
O 0.025 0.165 0.658 x2
O 0.085 0.243 0.130 x2
O 0.128 0.470 0.782 x2
O 0.252 0.044 0.526 x2
O 0.289 0.233 0.341 x2
O 0.343 0.454 0.173 x2
O 0.467 0.037 0.918 x2
O 0.498 0.269 0.554 x2
O 0.574 0.341 0.037 x2
O 0.603 0.276 0.820 x2
O 0.642 0.317 0.301 x2
O 0.771 0.078 0.008 x2
O 0.824 0.421 0.688 x2
O 0.953 0.183 0.393 x2
O 0.992 0.222 0.874 x2

The 8 most intense peaks (2θ = 15–90°), by angle:
| 2θ (°) | d (Å) | I (rel.) | (hkl) |
| --- | --- | --- | --- |
| 16.92 | 5.240 | 38 | 1 1 0 |
| 21.12 | 4.206 | 100 | 0 1 2 |
| 21.55 | 4.123 | 11 | 1 1 -2 |
| 21.77 | 4.082 | 20 | 2 0 0 |
| 23.49 | 3.787 | 10 | 2 0 -2 |
| 24.79 | 3.592 | 18 | 2 1 -1 |
| 25.42 | 3.504 | 13 | 2 1 0 |
| 34.56 | 2.595 | 15 | 1 2 2 |

Starting from a structure optimized by DFT (GGA+U), the X-ray powder pattern of MoP2O7 was simulated for Cu Kα.
Kinematic intensities with the Lorentz-polarization factor, no thermal factor.

a b c (Å): 10.001 8.358 13.540
angles (deg): 90.00 111.26 90.00
Space group C2/c (No. 15)
Asymmetric unit:
Mo 0.143 0.236 0.144 x8
P 0.128 0.038 0.930 x8
P 0.168 0.421 0.366 x8
O 0.009 0.046 0.142 x8
O 0.027 0.396 0.383 x8
O 0.095 0.184 0.987 x8
O 0.181 0.413 0.824 x8
O 0.199 0.284 0.301 x8
O 0.206 0.096 0.519 x8
O 0.228 0.082 0.872 x8

The 8 most intense peaks (2θ = 15–90°), by angle:
| 2θ (°) | d (Å) | I (rel.) | (hkl) |
| --- | --- | --- | --- |
| 17.36 | 5.109 | 100 | 1 1 1 |
| 19.06 | 4.656 | 12 | 2 0 0 |
| 22.47 | 3.958 | 29 | 1 1 -3 |
| 28.29 | 3.154 | 24 | 0 0 4 |
| 28.76 | 3.105 | 50 | 2 2 -2 |
| 29.04 | 3.075 | 32 | 3 1 -1 |
| 35.04 | 2.561 | 13 | 1 3 1 |
| 35.11 | 2.556 | 15 | 2 2 2 |

Starting from a structure optimized by DFT (GGA+U), the X-ray powder pattern of MoP2O7 was simulated for Cu Kα.
Kinematic intensities with the Lorentz-polarization factor, no thermal factor.

a b c (Å): 9.034 5.336 13.595
angles (deg): 90.00 116.97 90.00
Space group P2_1/c (No. 14)
Asymmetric unit:
Mo 0.230 0.248 0.469 x4
P 0.185 0.738 0.618 x4
P 0.337 0.741 0.863 x4
O 0.019 0.738 0.121 x4
O 0.210 0.022 0.082 x4
O 0.218 0.555 0.054 x4
O 0.239 0.545 0.380 x4
O 0.259 0.015 0.361 x4
O 0.327 0.724 0.242 x4
O 0.480 0.244 0.058 x4

The 8 most intense peaks (2θ = 15–90°), by angle:
| 2θ (°) | d (Å) | I (rel.) | (hkl) |
| --- | --- | --- | --- |
| 21.62 | 4.110 | 100 | 1 1 -2 |
| 22.07 | 4.027 | 57 | 2 0 0 |
| 31.29 | 2.859 | 26 | 1 1 -4 |
| 31.78 | 2.816 | 12 | 2 0 2 |
| 33.59 | 2.668 | 13 | 0 2 0 |
| 34.19 | 2.622 | 16 | 3 1 -2 |
| 53.44 | 1.715 | 9 | 1 3 -2 |
| 54.09 | 1.695 | 8 | 4 0 2 |

Starting from a structure optimized by DFT (GGA+U), the X-ray powder pattern of MoP4O13 was simulated for Cu Kα.
Kinematic intensities with the Lorentz-polarization factor, no thermal factor.

a b c (Å): 5.130 7.972 13.859
angles (deg): 80.34 82.97 81.88
Space group P-1 (No. 2)
Asymmetric unit:
Mo 0.067 0.443 0.241 x2
P 0.165 0.931 0.679 x2
P 0.216 0.841 0.200 x2
P 0.362 0.724 0.864 x2
P 0.492 0.606 0.354 x2
O 0.001 0.900 0.287 x2
O 0.036 0.209 0.302 x2
O 0.098 0.677 0.180 x2
O 0.203 0.580 0.837 x2
O 0.210 0.470 0.661 x2
O 0.247 0.785 0.955 x2
O 0.279 0.974 0.118 x2
O 0.299 0.965 0.581 x2
O 0.332 0.467 0.323 x2
O 0.342 0.360 0.142 x2
O 0.362 0.862 0.764 x2
O 0.391 0.664 0.448 x2
O 0.468 0.756 0.258 x2

The 8 most intense peaks (2θ = 15–90°), by angle:
| 2θ (°) | d (Å) | I (rel.) | (hkl) |
| --- | --- | --- | --- |
| 18.58 | 4.775 | 67 | 0 1 -2 |
| 20.82 | 4.267 | 78 | 1 0 2 |
| 23.08 | 3.854 | 54 | -1 1 1 |
| 25.76 | 3.458 | 82 | -1 1 2 |
| 27.11 | 3.290 | 54 | 1 2 0 |
| 27.73 | 3.217 | 100 | 1 2 2 |
| 28.07 | 3.179 | 52 | 0 2 -2 |
| 30.17 | 2.962 | 42 | 1 0 4 |